No. 1
Gd2TlAg: simulated X-ray powder pattern (copper Kα), based on a DFT-relaxed cell (GGA-PBE, the Materials Project).

Structure:
abc: 7.5031 7.5031 7.5031
angles: 90.00 90.00 90.00
Fractional coordinates of all 16 atoms:
Gd (0.2500, 0.2500, 0.2500)
Gd (0.2500, 0.2500, 0.7500)
Gd (0.2500, 0.7500, 0.2500)
Gd (0.2500, 0.7500, 0.7500)
Gd (0.7500, 0.2500, 0.2500)
Gd (0.7500, 0.2500, 0.7500)
Gd (0.7500, 0.7500, 0.2500)
Gd (0.7500, 0.7500, 0.7500)
Tl (0.0000, 0.0000, 0.0000)
Tl (0.0000, 0.5000, 0.5000)
Tl (0.5000, 0.0000, 0.5000)
Tl (0.5000, 0.5000, 0.0000)
Ag (0.0000, 0.0000, 0.5000)
Ag (0.0000, 0.5000, 0.0000)
Ag (0.5000, 0.0000, 0.0000)
Ag (0.5000, 0.5000, 0.5000)

Principal peaks in the range 2θ = 10–90°, by angle:
two_theta	intensity
20.5	42
33.8	1000
39.8	25
48.5	181
53.2	12
60.4	374
64.5	9
71.1	115
74.9	10
81.1	162


No. 2
AgGe3: simulated X-ray powder pattern (copper Kα), based on a DFT-relaxed cell (GGA-PBE, the Materials Project).

Structure:
abc: 4.2040 4.2040 8.9240
angles: 90.00 90.00 90.00
Fractional coordinates of all 8 atoms:
Ag (0.0000, 0.0000, 0.0000)
Ag (0.5000, 0.5000, 0.5000)
Ge (0.0000, 0.0000, 0.5000)
Ge (0.0000, 0.5000, 0.2500)
Ge (0.0000, 0.5000, 0.7500)
Ge (0.5000, 0.0000, 0.2500)
Ge (0.5000, 0.0000, 0.7500)
Ge (0.5000, 0.5000, 0.0000)

Principal peaks in the range 2θ = 10–90°, by angle:
two_theta	intensity
23.4	38
36.3	1000
40.4	184
43.0	308
60.5	217
62.5	99
70.8	135
74.5	231
77.1	105
87.4	19


No. 3
Ag2HgGeS4: simulated X-ray powder pattern (copper Kα), based on a DFT-relaxed cell (GGA-PBE, the Materials Project).

Structure:
abc: 6.7120 7.0212 10.5512
angles: 90.00 129.39 90.00
Fractional coordinates of all 16 atoms:
Ag (0.0000, 0.1527, 0.0000)
Ag (0.0000, 0.8473, 0.5000)
Ag (0.2362, 0.3118, 0.7546)
Ag (0.2362, 0.6882, 0.2546)
Hg (0.7280, 0.3112, 0.2448)
Hg (0.7280, 0.6888, 0.7448)
Ge (0.4976, 0.1823, 0.5003)
Ge (0.4976, 0.8177, 0.0003)
S (0.1641, 0.1785, 0.5031)
S (0.1641, 0.8215, 0.0031)
S (0.3697, 0.3336, 0.2698)
S (0.3697, 0.6664, 0.7698)
S (0.6139, 0.1185, 0.9968)
S (0.6139, 0.8815, 0.4968)
S (0.8342, 0.3310, 0.7301)
S (0.8342, 0.6690, 0.2301)

Principal peaks in the range 2θ = 10–90°, by angle:
two_theta	intensity
25.3	383
25.4	307
26.6	520
28.6	1000
28.7	325
44.4	193
44.6	334
48.2	432
48.2	165
52.7	265


No. 4
Ag4HgGe2S7: simulated X-ray powder pattern (copper Kα), based on a DFT-relaxed cell (GGA-PBE, the Materials Project).

Structure:
abc: 9.5691 9.5691 10.6626
angles: 92.88 92.88 42.58
Fractional coordinates of all 28 atoms:
Ag (0.1156, 0.4644, 0.4417)
Ag (0.1264, 0.8736, 0.5000)
Ag (0.2552, 0.6198, 0.1524)
Ag (0.4644, 0.1156, 0.9417)
Ag (0.5460, 0.8966, 0.5554)
Ag (0.6198, 0.2552, 0.6524)
Ag (0.8736, 0.1264, 0.0000)
Ag (0.8966, 0.5460, 0.0554)
Hg (0.3911, 0.7589, 0.8418)
Hg (0.7589, 0.3911, 0.3418)
Ge (0.0354, 0.6894, 0.7992)
Ge (0.3251, 0.9804, 0.2252)
Ge (0.6894, 0.0354, 0.2992)
Ge (0.9804, 0.3251, 0.7252)
S (0.0239, 0.7582, 0.3375)
S (0.0526, 0.3237, 0.2592)
S (0.1661, 0.5080, 0.9723)
S (0.2523, 0.8686, 0.0733)
S (0.2732, 0.6377, 0.6957)
S (0.3237, 0.0526, 0.7592)
S (0.4311, 0.7904, 0.3958)
S (0.5080, 0.1661, 0.4723)
S (0.5872, 0.9255, 0.1512)
S (0.6377, 0.2732, 0.1957)
S (0.7582, 0.0239, 0.8375)
S (0.7904, 0.4311, 0.8958)
S (0.8686, 0.2523, 0.5733)
S (0.9255, 0.5872, 0.6512)

Principal peaks in the range 2θ = 10–90°, by angle:
two_theta	intensity
25.3	550
25.6	315
26.8	616
28.4	521
29.0	1000
44.5	256
45.0	418
48.0	225
48.7	207
49.1	234


No. 5
Ag6HgGeSe6: simulated X-ray powder pattern (copper Kα), based on a DFT-relaxed cell (GGA-PBE, the Materials Project).

Structure:
abc: 8.2484 7.7932 11.1117
angles: 90.00 90.00 90.00
Fractional coordinates of all 28 atoms:
Ag (0.0000, 0.0965, 0.0000)
Ag (0.0000, 0.2574, 0.5343)
Ag (0.2153, 0.5873, 0.1889)
Ag (0.2443, 0.0302, 0.7412)
Ag (0.2557, 0.9698, 0.2412)
Ag (0.2847, 0.4127, 0.6889)
Ag (0.5000, 0.7426, 0.0343)
Ag (0.5000, 0.9035, 0.5000)
Ag (0.7153, 0.4127, 0.6889)
Ag (0.7443, 0.9698, 0.2412)
Ag (0.7557, 0.0302, 0.7412)
Ag (0.7847, 0.5873, 0.1889)
Hg (0.0000, 0.5510, 0.8760)
Hg (0.5000, 0.4490, 0.3760)
Ge (0.0000, 0.7469, 0.4969)
Ge (0.5000, 0.2531, 0.9969)
Se (0.0000, 0.0017, 0.3792)
Se (0.0000, 0.2508, 0.7715)
Se (0.0000, 0.5042, 0.3691)
Se (0.0000, 0.7626, 0.0468)
Se (0.2410, 0.7436, 0.6170)
Se (0.2590, 0.2564, 0.1170)
Se (0.5000, 0.2374, 0.5468)
Se (0.5000, 0.4958, 0.8691)
Se (0.5000, 0.7492, 0.2715)
Se (0.5000, 0.9983, 0.8792)
Se (0.7410, 0.2564, 0.1170)
Se (0.7590, 0.7436, 0.6170)

Principal peaks in the range 2θ = 10–90°, by angle:
two_theta	intensity
26.9	1000
28.0	442
28.8	216
29.3	254
34.3	177
35.6	273
41.9	392
42.5	187
43.9	305
45.7	467


No. 6
Ag9Ge2IO8: simulated X-ray powder pattern (copper Kα), based on a DFT-relaxed cell (GGA-PBE, the Materials Project).

Structure:
abc: 9.6438 9.6438 5.7790
angles: 104.67 104.67 42.63
Fractional coordinates of all 20 atoms:
Ag (0.0000, 0.0000, 0.0000)
Ag (0.0986, 0.5465, 0.7089)
Ag (0.2190, 0.7810, 0.5000)
Ag (0.3213, 0.3213, 0.2838)
Ag (0.4535, 0.9014, 0.2911)
Ag (0.5465, 0.0986, 0.7089)
Ag (0.6787, 0.6787, 0.7162)
Ag (0.7810, 0.2190, 0.5000)
Ag (0.9014, 0.4535, 0.2911)
Ge (0.1591, 0.1591, 0.7849)
Ge (0.8409, 0.8409, 0.2151)
I (0.5000, 0.5000, 0.0000)
O (0.0801, 0.6704, 0.3980)
O (0.1260, 0.1260, 0.0485)
O (0.2622, 0.2622, 0.8743)
O (0.3296, 0.9199, 0.6020)
O (0.6704, 0.0801, 0.3980)
O (0.7378, 0.7378, 0.1257)
O (0.8740, 0.8740, 0.9515)
O (0.9199, 0.3296, 0.6020)

Principal peaks in the range 2θ = 10–90°, by angle:
two_theta	intensity
30.1	429
31.0	1000
33.3	980
34.1	849
36.5	283
47.0	169
52.2	155
54.4	300
56.2	147
57.7	223


No. 7
In2Ag2GeS6: simulated X-ray powder pattern (copper Kα), based on a DFT-relaxed cell (GGA-PBE, the Materials Project).

Structure:
abc: 7.2291 7.2291 12.4126
angles: 106.73 106.73 61.47
Fractional coordinates of all 22 atoms:
In (0.0615, 0.9385, 0.5000)
In (0.7283, 0.9133, 0.1942)
In (0.9133, 0.7283, 0.6942)
In (0.9385, 0.0615, 0.0000)
Ag (0.2540, 0.4228, 0.9975)
Ag (0.4228, 0.2540, 0.4975)
Ag (0.4268, 0.8453, 0.8426)
Ag (0.8453, 0.4268, 0.3426)
Ge (0.2986, 0.8351, 0.2553)
Ge (0.8351, 0.2986, 0.7553)
S (0.0653, 0.5933, 0.5130)
S (0.1170, 0.6385, 0.1999)
S (0.1324, 0.1491, 0.1984)
S (0.1491, 0.1324, 0.6984)
S (0.1697, 0.7219, 0.8826)
S (0.3925, 0.8865, 0.4445)
S (0.5933, 0.0653, 0.0130)
S (0.5969, 0.6397, 0.1801)
S (0.6385, 0.1170, 0.6999)
S (0.6397, 0.5969, 0.6801)
S (0.7219, 0.1697, 0.3826)
S (0.8865, 0.3925, 0.9445)

Principal peaks in the range 2θ = 10–90°, by angle:
two_theta	intensity
22.6	460
24.6	447
24.9	434
25.3	604
25.8	1000
28.6	496
29.1	523
29.2	546
29.9	521
30.6	571


No. 8
In2Ag2GeS6: simulated X-ray powder pattern (copper Kα), based on a DFT-relaxed cell (GGA-PBE, the Materials Project).

Structure:
abc: 7.6083 7.6083 10.7371
angles: 111.35 111.35 76.76
Fractional coordinates of all 22 atoms:
In (0.0771, 0.9229, 0.5000)
In (0.7267, 0.9444, 0.2745)
In (0.9229, 0.0771, 0.0000)
In (0.9444, 0.7267, 0.7745)
Ag (0.0176, 0.4709, 0.4785)
Ag (0.4709, 0.0176, 0.9785)
Ag (0.4932, 0.5244, 0.8064)
Ag (0.5244, 0.4932, 0.3064)
Ge (0.0586, 0.5549, 0.1045)
Ge (0.5549, 0.0586, 0.6045)
S (0.1773, 0.2596, 0.0055)
S (0.1904, 0.5899, 0.3336)
S (0.2280, 0.7556, 0.6996)
S (0.2375, 0.6202, 0.9996)
S (0.2596, 0.1773, 0.5055)
S (0.2883, 0.9023, 0.0941)
S (0.5899, 0.1904, 0.8336)
S (0.6202, 0.2375, 0.4996)
S (0.7078, 0.7644, 0.5295)
S (0.7556, 0.2280, 0.1996)
S (0.7644, 0.7078, 0.0295)
S (0.9023, 0.2883, 0.5941)

Principal peaks in the range 2θ = 10–90°, by angle:
two_theta	intensity
18.4	296
19.0	372
25.3	1000
25.6	344
27.0	244
29.6	492
32.3	580
37.3	257
42.6	372
49.0	235